(1)
For LiCuBO3, a GGA-PBE-relaxed structure gives the calculated powder diffraction line list in this record (a wavelength of 1.5418 Å).
Peak positions follow from Bragg's law for the DFT cell and can differ from measured ones.

Largest 8 diffraction maxima, by intensity, 2θ = 10–80°:
2θ 21.95, I 100.0
2θ 36.90, I 72.0
2θ 56.08, I 26.8
2θ 33.81, I 23.8
2θ 38.51, I 22.8
2θ 49.11, I 21.3
2θ 54.40, I 16.2
2θ 65.61, I 14.2

```
data_LiCuBO3
_chemical_formula_sum 'Li3 Cu3 B3 O9'
_cell_length_a 8.0984
_cell_length_b 8.0984
_cell_length_c 3.0489
_cell_angle_alpha 90.00
_cell_angle_beta 90.00
_cell_angle_gamma 120.00
_space_group_name_H-M_alt 'P -6'
_space_group_IT_number 174
_space_group_name_Hall 'P -6'
loop_
_atom_site_label
_atom_site_fract_x
_atom_site_fract_y
_atom_site_fract_z
Li1 0.0182 0.2931 0.0000
Cu1 0.3861 0.3724 0.5000
B1 0.0000 0.0000 0.5000
B2 0.3333 0.6667 0.0000
B3 0.6667 0.3333 0.0000
O1 0.0912 0.1974 0.5000
O2 0.1362 0.5779 0.0000
O3 0.4696 0.2563 0.0000
```

---

(2)
For LiCuBO3, a GGA-PBE-relaxed structure gives the calculated powder diffraction line list in this record (a wavelength of 1.5418 Å).
Peak positions follow from Bragg's law for the DFT cell and can differ from measured ones.

Largest 8 diffraction maxima, by intensity, 2θ = 10–80°:
2θ 21.87, I 100.0
2θ 37.77, I 78.2
2θ 34.23, I 70.5
2θ 19.63, I 64.8
2θ 21.75, I 48.3
2θ 40.30, I 46.8
2θ 26.57, I 43.3
2θ 41.01, I 39.3

```
data_LiCuBO3
_chemical_formula_sum 'Li8 Cu8 B8 O24'
_cell_length_a 5.2949
_cell_length_b 9.0458
_cell_length_c 9.5339
_cell_angle_alpha 90.00
_cell_angle_beta 92.27
_cell_angle_gamma 90.00
_space_group_name_H-M_alt 'C 1 c 1'
_space_group_IT_number 9
_space_group_name_Hall 'C -2yc'
loop_
_atom_site_label
_atom_site_fract_x
_atom_site_fract_y
_atom_site_fract_z
Li1 0.0000 0.9998 0.0000
Li2 0.1741 0.4921 0.2504
Cu1 0.0000 0.3277 0.5248
Cu2 0.1882 0.1696 0.2730
B1 0.0084 0.3314 0.0287
B2 0.1711 0.1652 0.7779
O1 0.0267 0.0414 0.7864
O2 0.0660 0.3014 0.7331
O3 0.1134 0.1931 0.0670
O4 0.1480 0.4574 0.0384
O5 0.2535 0.1646 0.4816
O6 0.4299 0.1620 0.8171
```

---

(3)
For Li5Cu4B4O12, a GGA-PBE-relaxed structure gives the calculated powder diffraction line list in this record (a wavelength of 1.5418 Å).
Peak positions follow from Bragg's law for the DFT cell and can differ from measured ones.

Largest 8 diffraction maxima, by intensity, 2θ = 10–80°:
2θ 21.74, I 100.0
2θ 34.51, I 98.1
2θ 20.10, I 95.9
2θ 34.74, I 60.5
2θ 21.59, I 59.7
2θ 48.56, I 32.4
2θ 26.05, I 30.1
2θ 41.71, I 29.0

```
data_Li5Cu4B4O12
_chemical_formula_sum 'Li5 Cu4 B4 O12'
_cell_length_a 5.1073
_cell_length_b 5.1680
_cell_length_c 10.4008
_cell_angle_alpha 91.24
_cell_angle_beta 90.17
_cell_angle_gamma 118.65
_space_group_name_H-M_alt 'P 1'
_space_group_IT_number 1
_space_group_name_Hall 'P 1'
loop_
_atom_site_label
_atom_site_fract_x
_atom_site_fract_y
_atom_site_fract_z
Li1 0.0000 0.0000 0.0000
Li2 0.0066 0.0375 0.5334
Li3 0.2323 0.1390 0.3330
Li4 0.3489 0.3334 0.7664
Li5 0.3897 0.4002 0.1441
Cu1 0.0158 0.6241 0.2210
Cu2 0.3450 0.7354 0.9597
Cu3 0.6494 0.0079 0.7223
Cu4 0.6984 0.3934 0.4875
B1 0.0157 0.6853 0.7229
B2 0.3342 0.7065 0.4696
B3 0.6825 0.0512 0.2045
B4 0.6841 0.3343 0.9618
O1 0.0400 0.9576 0.7088
O2 0.0992 0.7516 0.4202
O3 0.2582 0.6541 0.7688
O4 0.3090 0.4294 0.4666
O5 0.4071 0.3156 0.9622
O6 0.4330 0.7893 0.1622
O7 0.5855 0.9534 0.5207
O8 0.6270 0.2758 0.2535
O9 0.7209 0.0944 0.9176
O10 0.7532 0.4313 0.6878
O11 0.9293 0.5859 0.0120
O12 0.9667 0.0904 0.1918
```